Starting from a structure optimized by DFT (GGA-PBE), the powder diffraction line list of Er2Pd3Au was calculated for CuKα.
Peak positions follow from Bragg's law for the DFT cell and can differ from measured ones.

Structural model:
abc: 7.5874 8.9611 8.1103
angles: 90.00 90.00 90.00
Space group Ibam (No. 72)
Asymmetric unit:
Er1 0.1964 0.1815 0.0000 (multiplicity 8)
Pd1 0.0000 0.0000 0.2500 (multiplicity 4)
Pd2 0.0000 0.3035 0.2500 (multiplicity 8)
Au1 0.0000 0.5000 0.0000 (multiplicity 4)

Main lines, by intensity (15 to 90 degrees two-theta):
| 2theta | I/Imax | h k l |
| --- | --- | --- |
| 39.3 | 100.0 | 1 3 2 |
| 38.2 | 56.2 | 2 2 2 |
| 25.6 | 48.8 | 1 2 1 |
| 32.3 | 35.8 | 2 0 2 |
| 44.7 | 35.8 | 0 0 4 |
| 73.8 | 28.7 | 5 3 2 |